Record 1
Theoretical PXRD pattern of Tb2Pm2Er7 for λ = 1.5418 Å (Cu Kα), from a structure optimized by DFT (GGA-PBE).
Neutral-atom scattering factors, no anomalous dispersion.

Principal peaks in the range 15 to 90 degrees two-theta, in order of rising 2θ:
2theta, Rel. int.
25.77, 23
29.91, 12
30.91, 28
31.11, 49
32.13, 27
32.27, 100
33.81, 39
34.04, 30
35.83, 12
45.34, 16
50.04, 13
56.10, 15

Structural model:
abc: 8.013 8.013 6.042
angles: 106.34 106.34 91.69
Sites, in units of the cell vectors:
Tb: 0.212 0.788 0.000
Tb: 0.788 0.212 0.000
Pm: 0.406 0.406 0.693
Pm: 0.594 0.594 0.307
Er: 0.000 0.000 0.500
Er: 0.064 0.589 0.322
Er: 0.230 0.230 0.079
Er: 0.411 0.936 0.678
Er: 0.589 0.064 0.322
Er: 0.770 0.770 0.921
Er: 0.936 0.411 0.678

---

Record 2
Theoretical PXRD pattern of Li5Bi6Pb for λ = 1.5418 Å (Cu Kα), from a structure optimized by DFT (GGA-PBE).
Neutral-atom scattering factors, no anomalous dispersion.

Principal peaks in the range 15 to 90 degrees two-theta, in order of rising 2θ:
2theta, Rel. int.
19.88, 40
26.16, 44
28.03, 11
33.07, 100
36.99, 19
37.67, 18
40.38, 13
42.34, 12
42.95, 12
48.75, 14
55.91, 10
56.41, 10

Structural model:
abc: 4.776 8.934 7.665
angles: 90.00 107.99 90.00
Sites, in units of the cell vectors:
Li: 0.000 0.000 0.000
Li: 0.327 0.500 0.656
Li: 0.331 0.000 0.662
Li: 0.669 0.000 0.338
Li: 0.673 0.500 0.344
Bi: 0.170 0.237 0.340
Bi: 0.170 0.763 0.340
Bi: 0.500 0.227 0.000
Bi: 0.500 0.773 0.000
Bi: 0.830 0.237 0.660
Bi: 0.830 0.763 0.660
Pb: 0.000 0.500 0.000